PrCo12B6: computed powder diffractogram (Cu Ka), based on a structure optimized by DFT (PBE).
Neutral-atom scattering factors, no anomalous dispersion.

Structural model:
a = 9.4293 Å, b = 9.4293 Å, c = 7.4552 Å
α = 90.00°, β = 90.00°, γ = 120.00°
Space group R-3m (No. 166, hexagonal axes)
Symmetry-distinct sites (fractional):
Pr  0.0000  0.0000  0.0000 [3 per cell]
Co  0.0000  0.3670  0.5000 [18 per cell]
Co  0.0908  0.1815  0.3680 [18 per cell]
B  0.0389  0.5195  0.2877 [18 per cell]

Main lines, in order of rising 2θ (2θ from 5° to 70°):
2θ/deg, intensity, index
31.37, 13.3, 2 1 1
32.53, 40.0, 2 0 2
32.90, 30.9, 3 0 0
41.06, 56.6, 1 1 3
41.68, 100.0, 1 3 1
46.94, 22.5, 3 1 2
49.68, 25.7, 3 0 3
58.75, 23.0, 3 3 0
62.04, 17.2, 5 0 2
64.33, 12.0, 1 4 3

Sr11Ga4Sn3: computed powder diffractogram (Cu Ka), based on a structure optimized by DFT (PBE).
Neutral-atom scattering factors, no anomalous dispersion.

Structural model:
a = 17.3163 Å, b = 17.3163 Å, c = 17.3163 Å
α = 90.00°, β = 90.00°, γ = 90.00°
Space group Fm-3m (No. 225)
Symmetry-distinct sites (fractional):
Sr  0.0000  0.0000  0.0000 [4 per cell]
Sr  0.0000  0.0000  0.5000 [4 per cell]
Sr  0.0000  0.1672  0.1672 [48 per cell]
Sr  0.1307  0.1307  0.3693 [32 per cell]
Ga  0.1937  0.1937  0.1937 [32 per cell]
Sn  0.0000  0.0000  0.2832 [24 per cell]

Main lines, in order of rising 2θ (2θ from 5° to 70°):
2θ/deg, intensity, index
17.74, 21.3, 2 2 2
26.75, 79.3, 3 3 3
29.17, 61.9, 4 4 0
30.54, 92.8, 5 3 1
30.99, 100.0, 6 0 0
33.95, 32.8, 5 3 3
39.99, 47.0, 5 5 3
44.39, 34.9, 6 6 0
51.72, 34.2, 8 4 4
61.27, 21.0, 9 5 5

Na2Ti3Cl8: computed powder diffractogram (Cu Ka), based on a structure optimized by DFT (PBE).
Neutral-atom scattering factors, no anomalous dispersion.

Structural model:
a = 7.2967 Å, b = 7.2967 Å, c = 20.1482 Å
α = 90.00°, β = 90.00°, γ = 120.00°
Space group R-3m (No. 166, hexagonal axes)
Symmetry-distinct sites (fractional):
Na  0.0000  0.0000  0.1587 [6 per cell]
Ti  0.0000  0.5000  0.0000 [9 per cell]
Cl  0.0000  0.0000  0.4051 [6 per cell]
Cl  0.0148  0.5074  0.4065 [18 per cell]

Main lines, in order of rising 2θ (2θ from 5° to 70°):
2θ/deg, intensity, index
13.18, 56.3, 0 0 3
16.56, 27.4, 0 1 2
22.57, 9.9, 1 0 4
27.83, 19.5, 1 1 3
29.63, 50.8, 2 0 2
36.13, 100.0, 2 0 5
42.48, 36.4, 0 2 7
50.00, 41.5, 2 2 0
53.98, 18.7, 0 2 10
63.22, 15.6, 0 4 5

Zn3CuP2O9: computed powder diffractogram (Cu Ka), based on a structure optimized by DFT (PBE).
Neutral-atom scattering factors, no anomalous dispersion.

Structural model:
a = 9.9163 Å, b = 8.1218 Å, c = 9.9101 Å
α = 90.00°, β = 119.75°, γ = 90.00°
Space group C2/m (No. 12)
Symmetry-distinct sites (fractional):
Zn  0.0093  0.1961  0.3324 [8 per cell]
Zn  0.1558  0.5000  0.6123 [4 per cell]
Cu  0.0000  0.3093  0.0000 [4 per cell]
P  0.2028  0.0000  0.0007 [4 per cell]
P  0.2388  0.5000  0.3571 [4 per cell]
O  0.0000  0.3223  0.5000 [4 per cell]
O  0.1029  0.1564  0.9158 [8 per cell]
O  0.1207  0.0000  0.6705 [4 per cell]
O  0.1434  0.5000  0.0089 [4 per cell]
O  0.1448  0.3419  0.2893 [8 per cell]
O  0.1881  0.0000  0.4579 [4 per cell]
O  0.2370  0.0000  0.1679 [4 per cell]

Main lines, in order of rising 2θ (2θ from 5° to 70°):
2θ/deg, intensity, index
20.64, 21.3, 2 0 0
29.61, 16.6, 3 1 -1
29.66, 24.4, 3 1 -2
30.26, 100.0, 2 2 0
31.19, 52.3, 0 0 3
34.75, 21.1, 1 3 -1
35.43, 33.3, 2 2 -3
43.52, 18.2, 3 3 -2
57.88, 29.4, 5 3 -2
59.94, 14.7, 1 3 4

Cu2OF2: computed powder diffractogram (Cu Ka), based on a structure optimized by DFT (PBE).
Neutral-atom scattering factors, no anomalous dispersion.

Structural model:
a = 5.7059 Å, b = 5.7059 Å, c = 10.1659 Å
α = 90.00°, β = 90.00°, γ = 90.00°
Space group I4_1/amd (No. 141, origin choice 2)
Symmetry-distinct sites (fractional):
Cu  0.0000  0.0000  0.0000 [8 per cell]
O  0.0000  0.2500  0.8750 [4 per cell]
F  0.0000  0.2500  0.1291 [8 per cell]

Main lines, in order of rising 2θ (2θ from 5° to 70°):
2θ/deg, intensity, index
17.83, 100.0, 1 0 1
30.69, 12.0, 1 0 3
36.10, 49.0, 2 0 2
36.30, 17.1, 2 1 1
44.44, 18.8, 2 1 3
48.71, 6.6, 3 0 1
58.00, 6.9, 2 1 5
58.41, 20.3, 2 2 4
63.90, 8.3, 2 0 6
65.43, 6.8, 4 0 0

Rb3LaBr6: computed powder diffractogram (Cu Ka), based on a structure optimized by DFT (PBE).
Neutral-atom scattering factors, no anomalous dispersion.

Structural model:
a = 14.5714 Å, b = 8.6008 Å, c = 13.9004 Å
α = 90.00°, β = 108.52°, γ = 90.00°
Space group P2_1/c (No. 14)
Symmetry-distinct sites (fractional):
Rb  0.0975  0.0355  0.3586 [4 per cell]
Rb  0.3164  0.5653  0.2661 [4 per cell]
Rb  0.3192  0.0678  0.1127 [4 per cell]
La  0.0000  0.0000  0.0000 [2 per cell]
La  0.5000  0.0000  0.5000 [2 per cell]
Br  0.1030  0.2126  0.5946 [4 per cell]
Br  0.1208  0.0004  0.8668 [4 per cell]
Br  0.1404  0.6789  0.6586 [4 per cell]
Br  0.3421  0.7101  0.0041 [4 per cell]
Br  0.3441  0.2138  0.3930 [4 per cell]
Br  0.4994  0.1443  0.6952 [4 per cell]

Main lines, in order of rising 2θ (2θ from 5° to 70°):
2θ/deg, intensity, index
12.83, 50.3, 1 1 -1
14.82, 35.6, 1 1 1
21.79, 41.5, 1 1 -3
27.75, 91.7, 1 1 -4
28.69, 47.1, 3 2 -2
29.25, 45.9, 2 1 3
29.90, 100.0, 2 2 2
30.99, 38.1, 4 0 -4
32.40, 34.4, 5 0 0
44.42, 34.4, 2 2 -6

Co2Sn3Te3: computed powder diffractogram (Cu Ka), based on a structure optimized by DFT (PBE).
Neutral-atom scattering factors, no anomalous dispersion.

Structural model:
a = 13.0155 Å, b = 13.0155 Å, c = 15.9220 Å
α = 90.00°, β = 90.00°, γ = 120.00°
Space group R-3 (No. 148, hexagonal axes)
Symmetry-distinct sites (fractional):
Co  0.0000  0.0000  0.2484 [6 per cell]
Co  0.0013  0.4984  0.7545 [18 per cell]
Sn  0.0049  0.1636  0.6599 [18 per cell]
Sn  0.0507  0.2677  0.9485 [18 per cell]
Te  0.0107  0.8374  0.8328 [18 per cell]
Te  0.0544  0.4488  0.1053 [18 per cell]

Main lines, in order of rising 2θ (2θ from 5° to 70°):
2θ/deg, intensity, index
30.73, 100.0, 4 -1 2
36.55, 42.4, 1 1 6
41.65, 9.3, 0 3 6
44.02, 25.0, 4 2 2
46.29, 9.9, 6 -5 2
48.48, 17.2, 6 0 0
50.59, 17.8, 5 2 0
58.50, 26.2, 5 3 2
60.37, 9.3, 6 0 6
69.27, 17.6, 9 -4 4